For K2BaIrO5, DFT lattice parameters and positions (PBE) gives the theoretical powder diffractogram in this record (a wavelength of 1.5418 Å).
Intensities are scaled so that the largest is 100.

Structural model:
```
data_K2BaIrO5
_chemical_formula_sum 'K4 Ba2 Ir2 O10'
_space_group_name_H-M_alt 'I m m m'
_space_group_IT_number 71
_space_group_name_Hall '-I 2 2'
_cell_length_a 3.9182
_cell_length_b 6.0208
_cell_length_c 12.7588
_cell_angle_alpha 90.00
_cell_angle_beta 90.00
_cell_angle_gamma 90.00
loop_
_atom_site_label
_atom_site_type_symbol
_atom_site_fract_x
_atom_site_fract_y
_atom_site_fract_z
K1 K 0.0000 0.0000 0.2186
Ba1 Ba 0.0000 0.5000 0.0000
Ir1 Ir 0.0000 0.5000 0.5000
O1 O 0.0000 0.0000 0.0000
O2 O 0.0000 0.2669 0.3925
```

The 6 most intense peaks (2θ from 15° to 90°), sorted by position:
index, 2θ/deg, I_rel
1 1 0, 27.15, 24
0 0 4, 27.97, 24
0 2 0, 29.68, 23
1 1 2, 30.62, 100
0 2 4, 41.24, 31
1 1 6, 51.17, 22

---

For KBaV2Ir, DFT lattice parameters and positions (PBE) gives the theoretical powder diffractogram in this record (a wavelength of 1.5418 Å).
Intensities are scaled so that the largest is 100.

Structural model:
```
data_KBaV2Ir
_chemical_formula_sum 'K1 Ba1 V2 Ir1'
_space_group_name_H-M_alt 'P 4/m m m'
_space_group_IT_number 123
_space_group_name_Hall '-P 4 2'
_cell_length_a 4.7136
_cell_length_b 4.7136
_cell_length_c 5.4761
_cell_angle_alpha 90.00
_cell_angle_beta 90.00
_cell_angle_gamma 90.00
loop_
_atom_site_label
_atom_site_type_symbol
_atom_site_fract_x
_atom_site_fract_y
_atom_site_fract_z
K1 K 0.0000 0.0000 0.0000
Ba1 Ba 0.5000 0.5000 0.5000
V1 V 0.0000 0.5000 0.0000
Ir1 Ir 0.0000 0.0000 0.5000
```

The 6 most intense peaks (2θ from 15° to 90°), sorted by position:
index, 2θ/deg, I_rel
1 1 0, 26.75, 35
1 1 1, 31.42, 100
0 0 2, 32.71, 33
2 0 0, 38.19, 43
2 0 2, 51.14, 36
3 1 1, 64.83, 25

---

For BaLa3Ir, DFT lattice parameters and positions (PBE) gives the theoretical powder diffractogram in this record (a wavelength of 1.5418 Å).
Intensities are scaled so that the largest is 100.

Structural model:
```
data_BaLa3Ir
_chemical_formula_sum 'Ba4 La12 Ir4'
_space_group_name_H-M_alt 'P 1 21/c 1'
_space_group_IT_number 14
_cell_length_a 10.3616
_cell_length_b 7.1573
_cell_length_c 10.8533
_cell_angle_alpha 90.00
_cell_angle_beta 100.93
_cell_angle_gamma 90.00
loop_
_space_group_symop_operation_xyz
'x,y,z'
'-x,-y,-z'
'-x,y+1/2,-z+1/2'
'x,-y+1/2,z+1/2'
loop_
_atom_site_label
_atom_site_type_symbol
_atom_site_fract_x
_atom_site_fract_y
_atom_site_fract_z
Ba1 Ba 0.0735 0.0811 0.1866
La1 La 0.1885 0.5783 0.0552
La2 La 0.3217 0.0733 0.9302
La3 La 0.4462 0.5893 0.8267
Ir1 Ir 0.4271 0.7439 0.5709
```

The 6 most intense peaks (2θ from 15° to 90°), sorted by position:
index, 2θ/deg, I_rel
2 0 2, 26.41, 47
1 1 -3, 27.92, 100
1 2 1, 28.23, 93
3 1 -1, 28.90, 93
2 2 2, 36.61, 50
2 3 -2, 43.95, 69

---

For BaLa3Ir, DFT lattice parameters and positions (PBE) gives the theoretical powder diffractogram in this record (a wavelength of 1.5418 Å).
Intensities are scaled so that the largest is 100.

Structural model:
```
data_BaLa3Ir
_chemical_formula_sum 'Ba4 La12 Ir4'
_space_group_name_H-M_alt 'P 1 21/c 1'
_space_group_IT_number 14
_cell_length_a 11.1197
_cell_length_b 7.4181
_cell_length_c 10.6192
_cell_angle_alpha 90.00
_cell_angle_beta 117.05
_cell_angle_gamma 90.00
loop_
_space_group_symop_operation_xyz
'x,y,z'
'-x,-y,-z'
'-x,y+1/2,-z+1/2'
'x,-y+1/2,z+1/2'
loop_
_atom_site_label
_atom_site_type_symbol
_atom_site_fract_x
_atom_site_fract_y
_atom_site_fract_z
Ba1 Ba 0.0059 0.2142 0.3523
La1 La 0.3079 0.0014 0.1604
La2 La 0.3564 0.0694 0.8391
La3 La 0.3556 0.5806 0.0202
Ir1 Ir 0.4955 0.2473 0.6325
```

The 6 most intense peaks (2θ from 15° to 90°), sorted by position:
index, 2θ/deg, I_rel
1 1 2, 27.12, 76
3 1 -2, 27.70, 67
2 2 0, 30.10, 100
0 1 3, 30.82, 58
3 1 -3, 31.39, 52
1 3 -2, 40.23, 64

---

For BaLa3Ir, DFT lattice parameters and positions (PBE) gives the theoretical powder diffractogram in this record (a wavelength of 1.5418 Å).
Intensities are scaled so that the largest is 100.

Structural model:
```
data_BaLa3Ir
_chemical_formula_sum 'Ba4 La12 Ir4'
_space_group_name_H-M_alt 'C 1 m 1'
_space_group_IT_number 8
_cell_length_a 23.9596
_cell_length_b 4.0175
_cell_length_c 7.8333
_cell_angle_alpha 90.00
_cell_angle_beta 92.10
_cell_angle_gamma 90.00
loop_
_space_group_symop_operation_xyz
'x,y,z'
'x,-y,z'
'x+1/2,y+1/2,z'
'x+1/2,-y+1/2,z'
loop_
_atom_site_label
_atom_site_type_symbol
_atom_site_fract_x
_atom_site_fract_y
_atom_site_fract_z
Ba1 Ba 0.0000 0.0000 0.0000
Ba2 Ba 0.1276 0.5000 0.7792
La1 La 0.0077 0.0000 0.5098
La2 La 0.1376 0.5000 0.2721
La3 La 0.2379 0.0000 0.5257
La4 La 0.2500 0.0000 0.0725
La5 La 0.3620 0.5000 0.7257
La6 La 0.3824 0.0000 0.3118
Ir1 Ir 0.2948 0.5000 0.3453
Ir2 Ir 0.4424 0.0000 0.6591
```

The 6 most intense peaks (2θ from 15° to 90°), sorted by position:
index, 2θ/deg, I_rel
4 0 2, 27.69, 77
5 1 0, 29.01, 100
1 1 -2, 32.05, 68
7 1 1, 36.68, 33
0 2 0, 45.14, 29
4 2 2, 53.76, 32

---

For BaLa3Ir, DFT lattice parameters and positions (PBE) gives the theoretical powder diffractogram in this record (a wavelength of 1.5418 Å).
Intensities are scaled so that the largest is 100.

Structural model:
```
data_BaLa3Ir
_chemical_formula_sum 'Ba4 La12 Ir4'
_space_group_name_H-M_alt 'C 1 2/m 1'
_space_group_IT_number 12
_cell_length_a 7.6831
_cell_length_b 13.2331
_cell_length_c 8.1907
_cell_angle_alpha 90.00
_cell_angle_beta 112.28
_cell_angle_gamma 90.00
loop_
_space_group_symop_operation_xyz
'x,y,z'
'-x,-y,-z'
'-x,y,-z'
'x,-y,z'
'x+1/2,y+1/2,z'
'-x+1/2,-y+1/2,-z'
'-x+1/2,y+1/2,-z'
'x+1/2,-y+1/2,z'
loop_
_atom_site_label
_atom_site_type_symbol
_atom_site_fract_x
_atom_site_fract_y
_atom_site_fract_z
Ba1 Ba 0.2257 0.0000 0.4359
La1 La 0.0784 0.2761 0.7686
La2 La 0.2271 0.0000 0.9352
Ir1 Ir 0.0000 0.1526 0.0000
```

The 6 most intense peaks (2θ from 15° to 90°), sorted by position:
index, 2θ/deg, I_rel
0 4 0, 26.95, 38
0 2 2, 27.12, 85
2 2 0, 28.51, 100
1 3 -2, 29.99, 86
1 1 2, 31.41, 45
2 4 -2, 38.61, 57

---

For Ba3LaIrRuO9, DFT lattice parameters and positions (PBE) gives the theoretical powder diffractogram in this record (a wavelength of 1.5418 Å).
Intensities are scaled so that the largest is 100.

Structural model:
```
data_Ba3LaIrRuO9
_chemical_formula_sum 'Ba6 La2 Ir2 Ru2 O18'
_space_group_name_H-M_alt 'P 63 m c'
_space_group_IT_number 186
_space_group_name_Hall 'P 6c -2c'
_cell_length_a 6.0171
_cell_length_b 6.0171
_cell_length_c 15.1580
_cell_angle_alpha 90.00
_cell_angle_beta 90.00
_cell_angle_gamma 120.00
loop_
_atom_site_label
_atom_site_type_symbol
_atom_site_fract_x
_atom_site_fract_y
_atom_site_fract_z
Ba1 Ba 0.0000 0.0000 0.0000
Ba2 Ba 0.3333 0.6667 0.1468
Ba3 Ba 0.3333 0.6667 0.8563
La1 La 0.0000 0.0000 0.2510
Ir1 Ir 0.3333 0.6667 0.4172
Ru1 Ru 0.3333 0.6667 0.5832
O1 O 0.0182 0.5091 0.5002
O2 O 0.1786 0.3571 0.3421
O3 O 0.1786 0.3572 0.6549
```

The 6 most intense peaks (2θ from 15° to 90°), sorted by position:
index, 2θ/deg, I_rel
1 0 3, 24.54, 20
1 0 4, 29.14, 66
1 1 0, 29.69, 100
2 0 4, 42.09, 37
2 1 4, 52.35, 24
3 0 0, 52.70, 20

---

For Ba8LiIr2, DFT lattice parameters and positions (PBE) gives the theoretical powder diffractogram in this record (a wavelength of 1.5418 Å).
Intensities are scaled so that the largest is 100.

Structural model:
```
data_Ba8LiIr2
_chemical_formula_sum 'Ba8 Li1 Ir2'
_space_group_name_H-M_alt 'P -1'
_space_group_IT_number 2
_cell_length_a 6.5463
_cell_length_b 10.4517
_cell_length_c 10.4522
_cell_angle_alpha 60.05
_cell_angle_beta 89.99
_cell_angle_gamma 89.98
loop_
_space_group_symop_operation_xyz
'x,y,z'
'-x,-y,-z'
loop_
_atom_site_label
_atom_site_type_symbol
_atom_site_fract_x
_atom_site_fract_y
_atom_site_fract_z
Ba1 Ba 0.2442 0.3242 0.3266
Ba2 Ba 0.2443 0.3266 0.8492
Ba3 Ba 0.2443 0.8493 0.3243
Ba4 Ba 0.2511 0.8333 0.8334
Li1 Li 0.5000 0.5000 0.5000
Ir1 Ir 0.2669 0.1667 0.1666
```

The 6 most intense peaks (2θ from 15° to 90°), sorted by position:
index, 2θ/deg, I_rel
1 1 0, 16.71, 71
0 2 2, 19.61, 100
1 2 0, 23.90, 85
2 0 0, 27.25, 60
0 4 2, 34.31, 99
2 4 2, 44.35, 93